The following is a theoretical PXRD pattern of InSiAg. It was derived from a cell relaxed with GGA-PBE, using Cu Kα.
Intensities are scaled so that the largest is 100.

Peak list (8 most intense, 10° ≤ 2θ ≤ 90°, in order of falling intensity)
hkl 1 0 2, 2θ = 32.64°, d 2.743, I = 100; hkl 0 2 2, 2θ = 36.95°, d 2.432, I = 42; hkl -1 1 1, 2θ = 32.96°, d 2.717, I = 35; hkl 0 2 -1, 2θ = 42.23°, d 2.140, I = 34; hkl 0 1 1, 2θ = 18.24°, d 4.865, I = 31; hkl 2 0 1, 2θ = 47.71°, d 1.906, I = 29; hkl 1 2 1, 2θ = 40.05°, d 2.251, I = 28; hkl 1 1 0, 2θ = 31.33°, d 2.855, I = 28

Structure:
```
InSiAg
1.0
3.8126 0.0000 0.0000
0.0313 5.6074 0.0000
1.9049 2.2109 5.9261
In Si Ag
2 2 2
direct
0.1473 0.3666 0.2026
0.8527 0.6334 0.7974
0.3080 0.0841 0.8821
0.6920 0.9159 0.1179
0.5000 0.0000 0.5000
0.5000 0.5000 0.5000
```